Structure and calculated powder diffractogram of As3Pb2BrO6 (a PBE-relaxed structure; copper Kα).
Peak positions follow from Bragg's law for the DFT cell and can differ from measured ones.

Largest 8 diffraction maxima, low angle first, 10 to 80 degrees two-theta:
| d_spacing | intensity |
| --- | --- |
| 7.990 | 62 |
| 3.740 | 42 |
| 3.330 | 46 |
| 3.225 | 100 |
| 3.136 | 48 |
| 2.996 | 63 |
| 2.899 | 88 |
| 2.732 | 63 |

Crystal structure
Unit cell a=8.426 b=5.464 c=10.820 alpha=90.00 beta=108.51 gamma=90.00
Atoms (fractional coordinates):
As 0.100 0.250 0.179
As 0.108 0.250 0.841
As 0.226 0.250 0.581
As 0.774 0.750 0.419
As 0.892 0.750 0.159
As 0.900 0.750 0.821
Pb 0.343 0.750 0.389
Pb 0.461 0.750 0.779
Pb 0.539 0.250 0.221
Pb 0.657 0.250 0.611
Br 0.306 0.750 0.069
Br 0.694 0.250 0.931
O 0.020 0.503 0.260
O 0.020 0.997 0.260
O 0.269 0.250 0.763
O 0.304 0.250 0.294
O 0.373 0.007 0.588
O 0.373 0.493 0.588
O 0.627 0.507 0.412
O 0.627 0.993 0.412
O 0.696 0.750 0.706
O 0.731 0.750 0.237
O 0.980 0.003 0.740
O 0.980 0.497 0.740

---

Structure and calculated powder diffractogram of As3Pb5BrO12 (a PBE-relaxed structure; copper Kα).
Peak positions follow from Bragg's law for the DFT cell and can differ from measured ones.

Largest 8 diffraction maxima, low angle first, 10 to 80 degrees two-theta:
| d_spacing | intensity |
| --- | --- |
| 3.463 | 20 |
| 3.142 | 55 |
| 3.054 | 100 |
| 2.160 | 23 |
| 2.024 | 31 |
| 1.999 | 14 |
| 1.595 | 17 |
| 1.366 | 15 |

Crystal structure
Unit cell a=10.577 b=10.577 c=7.485 alpha=90.00 beta=90.00 gamma=120.00
Atoms (fractional coordinates):
As 0.030 0.409 0.250
As 0.379 0.970 0.250
As 0.409 0.379 0.750
As 0.591 0.621 0.250
As 0.621 0.030 0.750
As 0.970 0.591 0.750
Pb 0.018 0.755 0.250
Pb 0.245 0.263 0.250
Pb 0.263 0.018 0.750
Pb 0.333 0.667 0.505
Pb 0.333 0.667 0.995
Pb 0.667 0.333 0.005
Pb 0.667 0.333 0.495
Pb 0.737 0.982 0.250
Pb 0.755 0.737 0.750
Pb 0.982 0.245 0.750
Br 0.000 0.000 0.000
Br 0.000 0.000 0.500
O 0.094 0.358 0.067
O 0.094 0.358 0.433
O 0.125 0.600 0.250
O 0.156 0.660 0.750
O 0.264 0.906 0.067
O 0.264 0.906 0.433
O 0.340 0.495 0.750
O 0.358 0.264 0.567
O 0.358 0.264 0.933
O 0.400 0.526 0.250
O 0.474 0.875 0.250
O 0.495 0.156 0.250
O 0.505 0.844 0.750
O 0.526 0.125 0.750
O 0.600 0.474 0.750
O 0.642 0.736 0.067
O 0.642 0.736 0.433
O 0.660 0.505 0.250
O 0.736 0.094 0.567
O 0.736 0.094 0.933
O 0.844 0.340 0.250
O 0.875 0.400 0.750
O 0.906 0.642 0.567
O 0.906 0.642 0.933

---

Structure and calculated powder diffractogram of Rb3AsBr6 (a PBE-relaxed structure; copper Kα).
Peak positions follow from Bragg's law for the DFT cell and can differ from measured ones.

Largest 8 diffraction maxima, low angle first, 10 to 80 degrees two-theta:
| d_spacing | intensity |
| --- | --- |
| 5.912 | 23 |
| 4.180 | 27 |
| 3.413 | 70 |
| 2.956 | 100 |
| 2.090 | 67 |
| 1.783 | 24 |
| 1.707 | 22 |
| 1.322 | 24 |

Crystal structure
Unit cell a=8.361 b=8.361 c=8.361 alpha=60.00 beta=60.00 gamma=60.00
Atoms (fractional coordinates):
Rb 0.000 0.000 0.000
Rb 0.250 0.250 0.250
Rb 0.750 0.750 0.750
As 0.500 0.500 0.500
Br 0.275 0.275 0.725
Br 0.275 0.725 0.275
Br 0.275 0.725 0.725
Br 0.725 0.275 0.275
Br 0.725 0.275 0.725
Br 0.725 0.725 0.275